Entry 1:
For Tl2Se3, the GGA-PBE geometry in Alexandria gives the computed powder diffraction line list in this record (Cu Kα X-rays).
Lines closer than 0.1° are merged.

Main lines, most intense first (2θ from 10° to 80°):
2theta  Rel. int.
30.1  100
28.3  64
22.8  39
37.2  36
20.4  21
50.8  21
55.2  20
39.3  18
46.2  13
41.4  12

Cell: 9.181 8.733 8.699 Å, 90.00 90.00 90.00°
Space group Cmc2_1 (No. 36)
Unique sites:
Tl: 0.232 0.118 0.000 x8
Se: 0.000 0.077 0.272 x4
Se: 0.000 0.176 0.658 x4
Se: 0.000 0.356 0.865 x4

Entry 2:
For Nd2Ho4Tm5, the GGA-PBE geometry in Alexandria gives the computed powder diffraction line list in this record (Cu Kα X-rays).
Lines closer than 0.1° are merged.

Main lines, most intense first (2θ from 10° to 80°):
2theta  Rel. int.
31.0  100
35.9  51
61.5  32
51.7  30
64.6  12
61.5  11
51.8  6
76.2  4
76.1  2

Cell: 23.175 3.535 8.658 Å, 90.00 104.31 90.00°
Space group C2/m (No. 12)
Unique sites:
Nd: 0.092 0.000 0.229 x4
Ho: 0.046 0.500 0.860 x4
Ho: 0.182 0.000 0.953 x4
Tm: 0.000 0.000 0.500 x2
Tm: 0.137 0.500 0.592 x4
Tm: 0.228 0.500 0.319 x4

Entry 3:
For La2PmHo5, the GGA-PBE geometry in Alexandria gives the computed powder diffraction line list in this record (Cu Kα X-rays).
Lines closer than 0.1° are merged.

Main lines, most intense first (2θ from 10° to 80°):
2theta  Rel. int.
30.4  100
35.1  34
60.1  29
50.9  24
35.7  16
60.9  14
63.3  12
50.4  12
74.1  4
75.7  2

Cell: 10.052 14.470 3.621 Å, 90.00 90.00 90.00°
Space group Cmmm (No. 65)
Unique sites:
La: 0.000 0.249 0.000 x4
Pm: 0.000 0.500 0.000 x2
Ho: 0.000 0.000 0.000 x2
Ho: 0.249 0.122 0.500 x8

Entry 4:
For Cd9Ag4Au11, the GGA-PBE geometry in Alexandria gives the computed powder diffraction line list in this record (Cu Kα X-rays).
Lines closer than 0.1° are merged.

Main lines, most intense first (2θ from 10° to 80°):
2theta  Rel. int.
36.7  100
41.0  40
38.0  14
71.8  13
37.2  13
45.8  12
63.2  11
65.9  10
69.8  9
59.3  8

Cell: 15.841 18.657 3.116 Å, 90.00 90.00 90.00°
Space group Cmmm (No. 65)
Unique sites:
Cd: 0.000 0.000 0.000 x2
Cd: 0.116 0.410 0.000 x8
Cd: 0.117 0.233 0.000 x8
Ag: 0.150 0.081 0.000 x8
Au: 0.000 0.134 0.500 x4
Au: 0.000 0.320 0.500 x4
Au: 0.000 0.500 0.500 x2
Au: 0.231 0.500 0.500 x4
Au: 0.237 0.326 0.500 x8

Entry 5:
For Ag2HgAsS4, the GGA-PBE geometry in Alexandria gives the computed powder diffraction line list in this record (Cu Kα X-rays).
Lines closer than 0.1° are merged.

Main lines, most intense first (2θ from 10° to 80°):
2theta  Rel. int.
27.3  100
26.0  89
44.9  61
30.0  36
50.2  36
52.5  27
16.9  23
41.2  22
44.7  17
54.2  16

Cell: 8.102 8.759 11.004 Å, 90.00 90.00 90.00°
Space group Fmm2 (No. 42)
Unique sites:
Ag: 0.250 0.250 0.000 x8
Hg: 0.000 0.000 0.269 x4
As: 0.000 0.000 0.743 x4
S: 0.000 0.232 0.856 x8
S: 0.224 0.000 0.617 x8

Entry 6:
For Pm4TmHg, the GGA-PBE geometry in Alexandria gives the computed powder diffraction line list in this record (Cu Kα X-rays).
Lines closer than 0.1° are merged.

Main lines, most intense first (2θ from 10° to 80°):
2theta  Rel. int.
32.2  100
33.7  97
33.4  96
31.1  88
28.1  58
32.0  51
32.7  50
49.9  45
61.2  41
33.3  33

Cell: 8.912 14.138 6.450 Å, 90.00 109.18 90.00°
Space group C2/c (No. 15)
Unique sites:
Pm: 0.099 0.190 0.048 x8
Pm: 0.215 0.385 0.376 x8
Tm: 0.000 0.408 0.750 x4
Hg: 0.000 0.001 0.750 x4

What did the sixth record say?
For Pm4TmHg, the GGA-PBE geometry in Alexandria gives the computed powder diffraction line list in this record (Cu Kα X-rays).
Lines closer than 0.1° are merged.

Main lines, most intense first (2θ from 10° to 80°):
2theta  Rel. int.
32.2  100
33.7  97
33.4  96
31.1  88
28.1  58
32.0  51
32.7  50
49.9  45
61.2  41
33.3  33

Cell: 8.912 14.138 6.450 Å, 90.00 109.18 90.00°
Space group C2/c (No. 15)
Unique sites:
Pm: 0.099 0.190 0.048 x8
Pm: 0.215 0.385 0.376 x8
Tm: 0.000 0.408 0.750 x4
Hg: 0.000 0.001 0.750 x4